# 1
Theoretical powder X-ray diffraction pattern
Compound: TiTeP3O12
Radiation: a wavelength of 1.5418 Å
Structure: DFT lattice parameters and positions (GGA-PBE)
Neutral-atom scattering factors, no anomalous dispersion.

Main lines, low angle first (2θ = 10–90°):
2θ = 14.2°, 6.243 Å, intensity 79
2θ = 19.9°, 4.466 Å, intensity 100
2θ = 20.3°, 4.365 Å, intensity 60
2θ = 23.7°, 3.757 Å, intensity 81
2θ = 28.6°, 3.122 Å, intensity 67
2θ = 31.8°, 2.818 Å, intensity 49
2θ = 35.3°, 2.539 Å, intensity 27
2θ = 35.6°, 2.520 Å, intensity 26
2θ = 45.6°, 1.988 Å, intensity 22
2θ = 52.3°, 1.750 Å, intensity 26

Structure:
Cell lengths 8.936, 8.936, 8.936 Å; angles 58.48, 58.48, 58.48 degrees
Positions (direct):
Ti (0.000, 0.000, 0.000)
Ti (0.500, 0.500, 0.500)
Te (0.217, 0.217, 0.217)
Te (0.717, 0.717, 0.717)
P (0.111, 0.395, 0.821)
P (0.321, 0.895, 0.611)
P (0.395, 0.821, 0.111)
P (0.611, 0.321, 0.895)
P (0.821, 0.111, 0.395)
P (0.895, 0.611, 0.321)
O (0.074, 0.228, 0.861)
O (0.082, 0.440, 0.301)
O (0.133, 0.383, 0.990)
O (0.146, 0.922, 0.784)
O (0.228, 0.861, 0.074)
O (0.284, 0.422, 0.646)
O (0.301, 0.082, 0.440)
O (0.361, 0.728, 0.574)
O (0.383, 0.990, 0.133)
O (0.422, 0.646, 0.284)
O (0.440, 0.301, 0.082)
O (0.490, 0.883, 0.633)
O (0.574, 0.361, 0.728)
O (0.582, 0.801, 0.940)
O (0.633, 0.490, 0.883)
O (0.646, 0.284, 0.422)
O (0.728, 0.574, 0.361)
O (0.784, 0.146, 0.922)
O (0.801, 0.940, 0.582)
O (0.861, 0.074, 0.228)
O (0.883, 0.633, 0.490)
O (0.922, 0.784, 0.146)
O (0.940, 0.582, 0.801)
O (0.990, 0.133, 0.383)

---

# 2
Theoretical powder X-ray diffraction pattern
Compound: TiPO4
Radiation: a wavelength of 1.5418 Å
Structure: DFT lattice parameters and positions (GGA-PBE)
Neutral-atom scattering factors, no anomalous dispersion.

Main lines, low angle first (2θ = 10–90°):
2θ = 20.1°, 4.416 Å, intensity 31
2θ = 22.1°, 4.023 Å, intensity 13
2θ = 24.3°, 3.669 Å, intensity 61
2θ = 25.9°, 3.434 Å, intensity 35
2θ = 33.9°, 2.641 Å, intensity 100
2θ = 37.6°, 2.391 Å, intensity 29
2θ = 43.9°, 2.061 Å, intensity 20
2θ = 49.7°, 1.834 Å, intensity 19
2θ = 60.7°, 1.525 Å, intensity 15
2θ = 64.8°, 1.440 Å, intensity 22

Structure:
Cell lengths 4.813, 4.813, 6.591 Å; angles 90.00, 90.00, 113.42 degrees
Positions (direct):
Ti (0.000, 0.000, 0.000)
Ti (0.000, 0.000, 0.500)
P (0.346, 0.654, 0.750)
P (0.654, 0.346, 0.250)
O (0.212, 0.299, 0.750)
O (0.238, 0.762, 0.558)
O (0.238, 0.762, 0.942)
O (0.299, 0.212, 0.250)
O (0.701, 0.788, 0.750)
O (0.762, 0.238, 0.058)
O (0.762, 0.238, 0.442)
O (0.788, 0.701, 0.250)

---

# 3
Theoretical powder X-ray diffraction pattern
Compound: TiPO4
Radiation: a wavelength of 1.5418 Å
Structure: DFT lattice parameters and positions (GGA-PBE)
Neutral-atom scattering factors, no anomalous dispersion.

Main lines, low angle first (2θ = 10–90°):
2θ = 17.7°, 5.003 Å, intensity 59
2θ = 19.9°, 4.451 Å, intensity 100
2θ = 23.1°, 3.846 Å, intensity 55
2θ = 24.9°, 3.581 Å, intensity 57
2θ = 29.6°, 3.014 Å, intensity 68
2θ = 35.7°, 2.516 Å, intensity 89
2θ = 36.0°, 2.496 Å, intensity 31
2θ = 40.3°, 2.237 Å, intensity 26
2θ = 51.0°, 1.790 Å, intensity 23
2θ = 56.6°, 1.626 Å, intensity 22

Structure:
Cell lengths 10.005, 6.027, 4.970 Å; angles 90.00, 90.00, 90.00 degrees
Positions (direct):
Ti (0.231, 0.250, 0.018)
Ti (0.269, 0.750, 0.518)
Ti (0.731, 0.250, 0.482)
Ti (0.769, 0.750, 0.982)
P (0.099, 0.750, 0.083)
P (0.401, 0.250, 0.583)
P (0.599, 0.750, 0.417)
P (0.901, 0.250, 0.917)
O (0.051, 0.250, 0.856)
O (0.123, 0.750, 0.780)
O (0.172, 0.550, 0.227)
O (0.172, 0.950, 0.227)
O (0.328, 0.050, 0.727)
O (0.328, 0.450, 0.727)
O (0.377, 0.250, 0.280)
O (0.449, 0.750, 0.356)
O (0.551, 0.250, 0.644)
O (0.623, 0.750, 0.720)
O (0.672, 0.550, 0.273)
O (0.672, 0.950, 0.273)
O (0.828, 0.050, 0.773)
O (0.828, 0.450, 0.773)
O (0.877, 0.250, 0.220)
O (0.949, 0.750, 0.144)

---

# 4
Theoretical powder X-ray diffraction pattern
Compound: TiP2O9
Radiation: a wavelength of 1.5418 Å
Structure: DFT lattice parameters and positions (GGA-PBE)
Neutral-atom scattering factors, no anomalous dispersion.

Main lines, low angle first (2θ = 10–90°):
2θ = 11.8°, 7.499 Å, intensity 76
2θ = 20.0°, 4.429 Å, intensity 12
2θ = 21.0°, 4.232 Å, intensity 27
2θ = 21.8°, 4.081 Å, intensity 8
2θ = 24.8°, 3.593 Å, intensity 100
2θ = 27.0°, 3.300 Å, intensity 31
2θ = 27.1°, 3.285 Å, intensity 21
2θ = 34.5°, 2.597 Å, intensity 16
2θ = 35.2°, 2.551 Å, intensity 9
2θ = 35.9°, 2.500 Å, intensity 8

Structure:
Cell lengths 8.834, 5.192, 15.609 Å; angles 90.00, 106.08, 90.00 degrees
Positions (direct):
Ti (0.219, 0.249, 0.474)
Ti (0.219, 0.251, 0.974)
Ti (0.781, 0.749, 0.026)
Ti (0.781, 0.751, 0.526)
P (0.003, 0.741, 0.381)
P (0.003, 0.759, 0.881)
P (0.448, 0.734, 0.585)
P (0.448, 0.766, 0.085)
P (0.552, 0.234, 0.915)
P (0.552, 0.266, 0.415)
P (0.997, 0.241, 0.119)
P (0.997, 0.259, 0.619)
O (0.080, 0.014, 0.405)
O (0.080, 0.486, 0.905)
O (0.092, 0.218, 0.214)
O (0.092, 0.282, 0.714)
O (0.101, 0.193, 0.054)
O (0.101, 0.307, 0.554)
O (0.144, 0.545, 0.409)
O (0.144, 0.955, 0.909)
O (0.324, 0.712, 0.728)
O (0.324, 0.788, 0.228)
O (0.325, 0.562, 0.055)
O (0.325, 0.938, 0.555)
O (0.383, 0.192, 0.403)
O (0.383, 0.308, 0.903)
O (0.405, 0.044, 0.063)
O (0.405, 0.456, 0.563)
O (0.455, 0.730, 0.710)
O (0.455, 0.770, 0.210)
O (0.545, 0.230, 0.790)
O (0.545, 0.270, 0.290)
O (0.595, 0.544, 0.437)
O (0.595, 0.956, 0.937)
O (0.617, 0.692, 0.097)
O (0.617, 0.808, 0.597)
O (0.675, 0.062, 0.445)
O (0.675, 0.438, 0.945)
O (0.676, 0.212, 0.772)
O (0.676, 0.288, 0.272)
O (0.856, 0.045, 0.091)
O (0.856, 0.455, 0.591)
O (0.899, 0.693, 0.446)
O (0.899, 0.807, 0.946)
O (0.908, 0.718, 0.286)
O (0.908, 0.782, 0.786)
O (0.920, 0.514, 0.095)
O (0.920, 0.986, 0.595)